Record 1
Starting from a DFT-relaxed cell (GGA+U, Alexandria), the X-ray powder pattern of PaCr2PtO8 was simulated for copper Kα.
Lines closer than 0.1° are merged.

Main lines, in order of rising 2θ (5° ≤ 2θ ≤ 70°):
- 2θ 18.68, d 4.749, I 82
- 2θ 26.27, d 3.393, I 60
- 2θ 26.81, d 3.325, I 59
- 2θ 33.92, d 2.643, I 100
- 2θ 37.89, d 2.375, I 29
- 2θ 38.81, d 2.320, I 28
- 2θ 51.45, d 1.776, I 40
- 2θ 52.07, d 1.756, I 40

Crystal structure
a = 4.7502 Å, b = 4.7502 Å, c = 6.3605 Å
α = 90.00°, β = 90.00°, γ = 91.16°
Sites, in units of the cell vectors:
1 Pa 0.0000 0.0000 0.0000
2 Cr 0.5000 0.5000 0.2590
3 Cr 0.5000 0.5000 0.7410
4 Pt 0.0000 0.0000 0.5000
5 O 0.2045 0.7955 0.2646
6 O 0.2045 0.7955 0.7354
7 O 0.3015 0.3015 0.5000
8 O 0.3196 0.3196 0.0000
9 O 0.6804 0.6804 0.0000
10 O 0.6985 0.6985 0.5000
11 O 0.7955 0.2045 0.2646
12 O 0.7955 0.2045 0.7354

***

Record 2
Starting from a DFT-relaxed cell (GGA+U, Alexandria), the X-ray powder pattern of PaCr2RuO8 was simulated for copper Kα.
Lines closer than 0.1° are merged.

Main lines, in order of rising 2θ (5° ≤ 2θ ≤ 70°):
- 2θ 18.81, d 4.717, I 63
- 2θ 26.56, d 3.355, I 62
- 2θ 26.89, d 3.316, I 62
- 2θ 33.95, d 2.641, I 100
- 2θ 38.16, d 2.359, I 26
- 2θ 38.98, d 2.311, I 26
- 2θ 51.80, d 1.765, I 40
- 2θ 52.17, d 1.753, I 41

Crystal structure
a = 4.7155 Å, b = 6.3734 Å, c = 4.7197 Å
α = 90.00°, β = 90.68°, γ = 90.00°
Sites, in units of the cell vectors:
1 Pa 0.0000 0.0000 0.0000
2 Cr 0.5000 0.2616 0.5000
3 Cr 0.5000 0.7384 0.5000
4 Ru 0.0000 0.5000 0.0000
5 O 0.2026 0.2725 0.7988
6 O 0.2026 0.7275 0.7988
7 O 0.2978 0.5000 0.2991
8 O 0.3160 0.0000 0.3176
9 O 0.6840 0.0000 0.6824
10 O 0.7022 0.5000 0.7009
11 O 0.7974 0.2725 0.2012
12 O 0.7974 0.7275 0.2012

***

Record 3
Starting from a DFT-relaxed cell (GGA+U, Alexandria), the X-ray powder pattern of PaCr2SiO6 was simulated for copper Kα.
Lines closer than 0.1° are merged.

Main lines, in order of rising 2θ (5° ≤ 2θ ≤ 70°):
- 2θ 16.00, d 5.540, I 80
- 2θ 19.80, d 4.485, I 53
- 2θ 22.70, d 3.917, I 37
- 2θ 25.55, d 3.486, I 53
- 2θ 30.29, d 2.950, I 100
- 2θ 32.32, d 2.770, I 51
- 2θ 41.65, d 2.169, I 37
- 2θ 46.67, d 1.946, I 38

Crystal structure
a = 5.5400 Å, b = 5.5400 Å, c = 4.4847 Å
α = 90.00°, β = 90.00°, γ = 90.00°
Sites, in units of the cell vectors:
1 Pa 0.0000 0.0000 0.0000
2 Cr 0.0000 0.5000 0.3291
3 Cr 0.5000 0.0000 0.3291
4 Si 0.5000 0.5000 0.0247
5 O 0.0000 0.0000 0.5359
6 O 0.2783 0.2783 0.1427
7 O 0.2783 0.7217 0.1427
8 O 0.5000 0.5000 0.6677
9 O 0.7217 0.2783 0.1427
10 O 0.7217 0.7217 0.1427

***

Record 4
Starting from a DFT-relaxed cell (GGA+U, Alexandria), the X-ray powder pattern of PaCr2SnO8 was simulated for copper Kα.
Lines closer than 0.1° are merged.

Main lines, in order of rising 2θ (5° ≤ 2θ ≤ 70°):
- 2θ 17.68, d 5.017, I 100
- 2θ 21.81, d 4.074, I 49
- 2θ 30.87, d 2.897, I 64
- 2θ 31.21, d 2.866, I 78
- 2θ 40.47, d 2.229, I 29
- 2θ 44.47, d 2.037, I 41
- 2θ 47.98, d 1.896, I 16
- 2θ 55.12, d 1.666, I 34

Crystal structure
a = 5.7932 Å, b = 5.7932 Å, c = 6.9821 Å
α = 90.00°, β = 90.00°, γ = 120.00°
Sites, in units of the cell vectors:
1 Pa 0.0000 0.0000 0.0000
2 Cr 0.3333 0.6667 0.7076
3 Cr 0.6667 0.3333 0.2924
4 Sn 0.0000 0.0000 0.5000
5 O 0.1639 0.3278 0.7966
6 O 0.1639 0.8361 0.7966
7 O 0.3278 0.1639 0.2034
8 O 0.3333 0.6667 0.4714
9 O 0.6667 0.3333 0.5286
10 O 0.6722 0.8361 0.7966
11 O 0.8361 0.1639 0.2034
12 O 0.8361 0.6722 0.2034

***

Record 5
Starting from a DFT-relaxed cell (GGA+U, Alexandria), the X-ray powder pattern of Sr2PaCrO6 was simulated for copper Kα.
Lines closer than 0.1° are merged.

Main lines, in order of rising 2θ (5° ≤ 2θ ≤ 70°):
- 2θ 18.54, d 4.786, I 48
- 2θ 21.47, d 4.139, I 24
- 2θ 30.48, d 2.933, I 100
- 2θ 30.61, d 2.920, I 99
- 2θ 35.93, d 2.499, I 29
- 2θ 43.75, d 2.069, I 57
- 2θ 54.19, d 1.693, I 33
- 2θ 54.26, d 1.690, I 29

Crystal structure
a = 5.8436 Å, b = 5.8708 Å, c = 10.0949 Å
α = 90.00°, β = 125.03°, γ = 90.00°
Sites, in units of the cell vectors:
1 Sr 0.2408 0.0298 0.2485
2 Sr 0.2408 0.4702 0.7485
3 Sr 0.7592 0.5298 0.2515
4 Sr 0.7592 0.9702 0.7515
5 Pa 0.5000 0.0000 0.0000
6 Pa 0.5000 0.5000 0.5000
7 Cr 0.0000 0.0000 0.5000
8 Cr 0.0000 0.5000 0.0000
9 O 0.1707 0.2243 0.9623
10 O 0.1707 0.2757 0.4623
11 O 0.2353 0.7103 0.9611
12 O 0.2353 0.7897 0.4611
13 O 0.3143 0.0167 0.7419
14 O 0.3143 0.4833 0.2419
15 O 0.6857 0.5167 0.7581
16 O 0.6857 0.9833 0.2581
17 O 0.7647 0.2103 0.5389
18 O 0.7647 0.2897 0.0389
19 O 0.8293 0.7243 0.5377
20 O 0.8293 0.7757 0.0377

***

Record 6
Starting from a DFT-relaxed cell (GGA+U, Alexandria), the X-ray powder pattern of PaVCr2O8 was simulated for copper Kα.
Lines closer than 0.1° are merged.

Main lines, in order of rising 2θ (5° ≤ 2θ ≤ 70°):
- 2θ 18.64, d 4.761, I 37
- 2θ 18.93, d 4.689, I 75
- 2θ 26.47, d 3.367, I 100
- 2θ 32.75, d 2.735, I 29
- 2θ 33.26, d 2.694, I 76
- 2θ 37.79, d 2.381, I 20
- 2θ 51.21, d 1.784, I 64
- 2θ 65.37, d 1.428, I 19

Crystal structure
a = 5.7741 Å, b = 5.7741 Å, c = 5.7741 Å
α = 108.67°, β = 108.67°, γ = 111.10°
Sites, in units of the cell vectors:
1 Pa 0.0000 0.0000 0.0000
2 V 0.2500 0.7500 0.5000
3 Cr 0.5000 0.5000 0.0000
4 Cr 0.7500 0.2500 0.5000
5 O 0.3117 0.1187 0.8070
6 O 0.3117 0.5048 0.1930
7 O 0.3499 0.0259 0.3240
8 O 0.4952 0.6883 0.8070
9 O 0.7019 0.0259 0.6760
10 O 0.8813 0.6883 0.1930
11 O 0.9741 0.2981 0.3240
12 O 0.9741 0.6501 0.6760

***

Record 7
Starting from a DFT-relaxed cell (GGA+U, Alexandria), the X-ray powder pattern of PaZn3Cr4O12 was simulated for copper Kα.
Lines closer than 0.1° are merged.

Main lines, in order of rising 2θ (5° ≤ 2θ ≤ 70°):
- 2θ 16.72, d 5.303, I 39
- 2θ 23.73, d 3.750, I 12
- 2θ 29.17, d 3.062, I 13
- 2θ 33.81, d 2.652, I 100
- 2θ 37.94, d 2.372, I 14
- 2θ 45.24, d 2.004, I 18
- 2θ 48.56, d 1.875, I 26
- 2θ 60.48, d 1.531, I 47

Crystal structure
a = 6.4949 Å, b = 6.4949 Å, c = 6.4949 Å
α = 109.47°, β = 109.47°, γ = 109.47°
Sites, in units of the cell vectors:
1 Pa 0.0000 0.0000 0.0000
2 Zn 0.0000 0.5000 0.5000
3 Zn 0.5000 0.0000 0.5000
4 Zn 0.5000 0.5000 0.0000
5 Cr 0.0000 0.0000 0.5000
6 Cr 0.0000 0.5000 0.0000
7 Cr 0.5000 0.0000 0.0000
8 Cr 0.5000 0.5000 0.5000
9 O 0.1189 0.2905 0.8285
10 O 0.1715 0.4620 0.2905
11 O 0.1715 0.8811 0.7095
12 O 0.2905 0.1715 0.4620
13 O 0.2905 0.8285 0.1189
14 O 0.4620 0.2905 0.1715
15 O 0.5380 0.7095 0.8285
16 O 0.7095 0.1715 0.8811
17 O 0.7095 0.8285 0.5380
18 O 0.8285 0.1189 0.2905
19 O 0.8285 0.5380 0.7095
20 O 0.8811 0.7095 0.1715

***

Record 8
Starting from a DFT-relaxed cell (GGA+U, Alexandria), the X-ray powder pattern of PaZnCr2O8 was simulated for copper Kα.
Lines closer than 0.1° are merged.

Main lines, in order of rising 2θ (5° ≤ 2θ ≤ 70°):
- 2θ 18.10, d 4.901, I 30
- 2θ 18.75, d 4.733, I 65
- 2θ 25.71, d 3.465, I 100
- 2θ 32.01, d 2.796, I 26
- 2θ 33.15, d 2.702, I 83
- 2θ 36.68, d 2.450, I 20
- 2θ 50.26, d 1.815, I 63
- 2θ 63.82, d 1.459, I 18

Crystal structure
a = 5.8743 Å, b = 5.8743 Å, c = 5.8743 Å
α = 107.70°, β = 107.70°, γ = 113.07°
Sites, in units of the cell vectors:
1 Pa 0.0000 0.0000 0.0000
2 Zn 0.7500 0.2500 0.5000
3 Cr 0.2500 0.7500 0.5000
4 Cr 0.5000 0.5000 0.0000
5 O 0.0743 0.3769 0.3026
6 O 0.0743 0.7716 0.6974
7 O 0.1353 0.3261 0.8092
8 O 0.2284 0.9257 0.3026
9 O 0.5169 0.3261 0.1908
10 O 0.6231 0.9257 0.6974
11 O 0.6739 0.4831 0.8092
12 O 0.6739 0.8647 0.1908

***

Record 9
Starting from a DFT-relaxed cell (GGA+U, Alexandria), the X-ray powder pattern of PaZnCr2O6 was simulated for copper Kα.
Lines closer than 0.1° are merged.

Main lines, in order of rising 2θ (5° ≤ 2θ ≤ 70°):
- 2θ 21.37, d 4.158, I 44
- 2θ 23.15, d 3.842, I 40
- 2θ 23.35, d 3.809, I 42
- 2θ 30.66, d 2.916, I 58
- 2θ 31.04, d 2.881, I 56
- 2θ 31.97, d 2.799, I 48
- 2θ 32.69, d 2.739, I 100
- 2θ 34.22, d 2.620, I 41

Crystal structure
a = 5.2405 Å, b = 5.4908 Å, c = 5.6177 Å
α = 63.05°, β = 89.46°, γ = 61.67°
Sites, in units of the cell vectors:
1 Pa 0.0000 0.0000 0.0000
2 Zn 0.5247 0.9738 0.5125
3 Cr 0.2830 0.4307 0.8693
4 Cr 0.7909 0.4144 0.3847
5 O 0.0436 0.5406 0.1447
6 O 0.1701 0.9620 0.6503
7 O 0.4269 0.8590 0.2042
8 O 0.5877 0.2264 0.6739
9 O 0.6671 0.2485 0.1760
10 O 0.8986 0.5119 0.6682

***

Record 10
Starting from a DFT-relaxed cell (GGA+U, Alexandria), the X-ray powder pattern of Cr6PbO18 was simulated for copper Kα.
Lines closer than 0.1° are merged.

Main lines, in order of rising 2θ (5° ≤ 2θ ≤ 70°):
- 2θ 11.43, d 7.740, I 78
- 2θ 15.23, d 5.817, I 100
- 2θ 17.40, d 5.098, I 80
- 2θ 17.57, d 5.047, I 39
- 2θ 20.64, d 4.303, I 61
- 2θ 34.79, d 2.579, I 76
- 2θ 35.21, d 2.549, I 84
- 2θ 48.70, d 1.870, I 45

Crystal structure
a = 6.3812 Å, b = 6.3812 Å, c = 8.1224 Å
α = 104.58°, β = 104.58°, γ = 67.80°
Sites, in units of the cell vectors:
1 Cr 0.0000 0.5000 0.0000
2 Cr 0.1542 0.6741 0.6502
3 Cr 0.3259 0.8458 0.3498
4 Cr 0.5000 0.0000 0.0000
5 Cr 0.6741 0.1542 0.6502
6 Cr 0.8458 0.3259 0.3498
7 Pb 0.5000 0.5000 0.0000
8 O 0.0000 0.5000 0.5000
9 O 0.0971 0.0971 0.2732
10 O 0.1586 0.5101 0.8306
11 O 0.1599 0.8401 0.5000
12 O 0.2115 0.2115 0.0207
13 O 0.2153 0.6300 0.1636
14 O 0.3700 0.7847 0.8364
15 O 0.4356 0.4356 0.5915
16 O 0.4899 0.8414 0.1694
17 O 0.5000 0.0000 0.5000
18 O 0.5101 0.1586 0.8306
19 O 0.5644 0.5644 0.4085
20 O 0.6300 0.2153 0.1636
21 O 0.7847 0.3700 0.8364
22 O 0.7885 0.7885 0.9793
23 O 0.8401 0.1599 0.5000
24 O 0.8414 0.4899 0.1694
25 O 0.9029 0.9029 0.7268

***

Record 11
Starting from a DFT-relaxed cell (GGA+U, Alexandria), the X-ray powder pattern of RbCr2Pb2O7 was simulated for copper Kα.
Lines closer than 0.1° are merged.

Main lines, in order of rising 2θ (5° ≤ 2θ ≤ 70°):
- 2θ 10.60, d 8.343, I 34
- 2θ 18.83, d 4.713, I 22
- 2θ 22.52, d 3.948, I 35
- 2θ 24.95, d 3.568, I 100
- 2θ 30.43, d 2.937, I 67
- 2θ 39.75, d 2.268, I 23
- 2θ 44.88, d 2.020, I 28
- 2θ 50.87, d 1.795, I 27

Crystal structure
a = 9.0061 Å, b = 9.0061 Å, c = 9.0061 Å
α = 38.07°, β = 38.07°, γ = 38.07°
Sites, in units of the cell vectors:
1 Rb 0.0000 0.0000 0.0000
2 Cr 0.4273 0.4273 0.4273
3 Cr 0.5727 0.5727 0.5727
4 Pb 0.2092 0.2092 0.2092
5 Pb 0.7908 0.7908 0.7908
6 O 0.0937 0.4773 0.6522
7 O 0.3478 0.5227 0.9063
8 O 0.4773 0.6522 0.0937
9 O 0.5000 0.5000 0.5000
10 O 0.5227 0.9063 0.3478
11 O 0.6522 0.0937 0.4773
12 O 0.9063 0.3478 0.5227

***

Record 12
Starting from a DFT-relaxed cell (GGA+U, Alexandria), the X-ray powder pattern of CrSb3Pb4O13 was simulated for copper Kα.
Lines closer than 0.1° are merged.

Main lines, in order of rising 2θ (5° ≤ 2θ ≤ 70°):
- 2θ 29.04, d 3.075, I 100
- 2θ 29.40, d 3.038, I 32
- 2θ 33.76, d 2.655, I 50
- 2θ 48.25, d 1.886, I 29
- 2θ 48.72, d 1.869, I 28
- 2θ 57.30, d 1.608, I 15
- 2θ 57.51, d 1.602, I 29
- 2θ 57.93, d 1.592, I 14

Crystal structure
a = 7.4762 Å, b = 7.4762 Å, c = 7.4762 Å
α = 60.61°, β = 60.61°, γ = 60.61°
Sites, in units of the cell vectors:
1 Cr 0.0000 0.0000 0.0000
2 Sb 0.0003 0.0003 0.5015
3 Sb 0.0003 0.5015 0.0003
4 Sb 0.5015 0.0003 0.0003
5 Pb 0.0051 0.4994 0.4994
6 Pb 0.4994 0.0051 0.4994
7 Pb 0.4994 0.4994 0.0051
8 Pb 0.4985 0.4985 0.4985
9 O 0.0715 0.0715 0.6763
10 O 0.0715 0.6763 0.0715
11 O 0.0737 0.6800 0.6800
12 O 0.3233 0.3233 0.9261
13 O 0.3233 0.9261 0.3233
14 O 0.3286 0.9271 0.9271
15 O 0.6246 0.6246 0.6246
16 O 0.6763 0.0715 0.0715
17 O 0.6800 0.0737 0.6800
18 O 0.6800 0.6800 0.0737
19 O 0.9261 0.3233 0.3233
20 O 0.9271 0.3286 0.9271
21 O 0.9271 0.9271 0.3286